The following is a calculated powder diffractogram of Er2WO6. It was derived from a cell relaxed with GGA+U, using copper Kα.
Lines closer than 0.1° are merged.

Crystal structure
Lattice parameters (Å, degrees): 7.6619 5.3587 11.3989 90.00 104.68 90.00
Fractional positions:
Er  0.0000  0.1842  0.2500
Er  0.0000  0.8158  0.7500
Er  0.2940  0.3168  0.9217
Er  0.2940  0.6832  0.4217
Er  0.5000  0.2404  0.2500
Er  0.5000  0.7596  0.7500
Er  0.7060  0.3168  0.5783
Er  0.7060  0.6832  0.0783
W  0.2235  0.2440  0.6149
W  0.2235  0.7560  0.1149
W  0.7765  0.2440  0.8851
W  0.7765  0.7560  0.3851
O  0.0112  0.1383  0.8849
O  0.0112  0.8617  0.3849
O  0.1336  0.3484  0.4508
O  0.1336  0.6516  0.9508
O  0.2105  0.4791  0.2291
O  0.2105  0.5209  0.7291
O  0.2918  0.0408  0.7739
O  0.2918  0.9592  0.2739
O  0.3470  0.0366  0.0695
O  0.3470  0.9634  0.5695
O  0.4403  0.4562  0.6044
O  0.4403  0.5438  0.1044
O  0.5597  0.4562  0.8956
O  0.5597  0.5438  0.3956
O  0.6530  0.0366  0.4305
O  0.6530  0.9634  0.9305
O  0.7082  0.0408  0.7261
O  0.7082  0.9592  0.2261
O  0.7895  0.4791  0.2709
O  0.7895  0.5209  0.7709
O  0.8664  0.3484  0.0492
O  0.8664  0.6516  0.5492
O  0.9888  0.1383  0.6151
O  0.9888  0.8617  0.1151

Largest 10 diffraction maxima, low angle first, 10 to 80 degrees two-theta:
- 28.7 deg, rel. 100, (2 1 -1)
- 29.5 deg, rel. 100, (0 1 3)
- 32.1 deg, rel. 14, (2 1 1)
- 32.3 deg, rel. 21, (2 0 2)
- 33.4 deg, rel. 24, (0 2 0)
- 35.3 deg, rel. 21, (2 0 -4)
- 47.2 deg, rel. 16, (2 2 2)
- 49.4 deg, rel. 23, (2 2 -4)
- 59.0 deg, rel. 12, (4 1 -5)
- 60.3 deg, rel. 12, (2 1 -7)